Record 1
Calculated XRD peak list of Cs2PdSeI6 for copper Kα, from a crystal structure in Alexandria, relaxed with GGA-PBE.
Neutral-atom scattering factors, no anomalous dispersion.

Peak list (10 most intense, 15° ≤ 2θ ≤ 90°, in order of rising 2θ)
| hkl | 2θ/deg | d [Å] | Rel. int. |
| --- | --- | --- | --- |
| 0 2 0 | 15.22 | 5.821 | 13 |
| 0 2 1 | 21.59 | 4.116 | 14 |
| 2 2 0 | 26.52 | 3.361 | 92 |
| 4 0 -2 | 30.72 | 2.911 | 100 |
| 4 0 0 | 44.00 | 2.058 | 73 |
| 2 2 2 | 52.08 | 1.756 | 27 |
| 6 2 -2 | 52.16 | 1.754 | 14 |
| 4 4 0 | 54.61 | 1.680 | 25 |
| 8 0 -2 | 72.66 | 1.301 | 21 |
| 8 4 -2 | 80.90 | 1.188 | 16 |

Crystal structure
Cell: 11.629 11.641 8.226 Å, 90.00 134.88 90.00°
Space group C2/m (No. 12)
Unique sites:
Cs  0.000  0.250  0.000 x4
Pd  0.000  0.000  0.500 x2
Se  0.000  0.500  0.500 x2
I  0.000  0.241  0.500 x4
I  0.241  0.000  0.981 x4
I  0.243  0.000  0.501 x4

=====

Record 2
Calculated XRD peak list of DyRe2AgO8 for copper Kα, from a crystal structure in Alexandria, relaxed with GGA-PBE.
Neutral-atom scattering factors, no anomalous dispersion.

Peak list (10 most intense, 15° ≤ 2θ ≤ 90°, in order of rising 2θ)
| hkl | 2θ/deg | d [Å] | Rel. int. |
| --- | --- | --- | --- |
| 0 1 1 | 21.02 | 4.226 | 100 |
| 1 1 0 | 28.42 | 3.140 | 78 |
| 1 0 2 | 31.31 | 2.856 | 55 |
| 0 2 2 | 42.80 | 2.113 | 29 |
| 1 0 3 | 43.74 | 2.069 | 13 |
| 1 2 1 | 46.18 | 1.966 | 24 |
| 3 0 0 | 50.33 | 1.813 | 16 |
| 2 1 2 | 52.18 | 1.753 | 25 |
| 2 2 0 | 58.81 | 1.570 | 14 |
| 1 1 4 | 62.78 | 1.480 | 17 |

Crystal structure
Cell: 6.2804 6.2804 6.7133 Å, 90.00 90.00 120.00°
Space group P-3m1 (No. 164)
Unique sites:
Dy  0.0000  0.0000  0.0000 x1
Re  0.3333  0.6667  0.2594 x2
Ag  0.0000  0.0000  0.5000 x1
O  0.1762  0.3523  0.1805 x6
O  0.3333  0.6667  0.5195 x2

=====

- Number 2 is which compound?
  DyRe2AgO8